# 1
This entry pairs a crystal structure of Tb3Pm2Sm4 with its computed X-ray diffraction stick pattern. Radiation: λ = 1.5418 Å (Cu Kα). Structure: a structure optimized by DFT (PBE).

The 6 most intense peaks (5° ≤ 2θ ≤ 70°), in order of rising 2θ:
| two_theta | d [Å] | intensity |
| --- | --- | --- |
| 28.41 | 3.141 | 45 |
| 30.04 | 2.975 | 45 |
| 31.46 | 2.844 | 59 |
| 33.06 | 2.709 | 100 |
| 50.31 | 1.813 | 36 |
| 59.72 | 1.548 | 40 |

Atomic structure:
a b c (Å): 3.6270 3.6270 26.7758
angles (deg): 90.00 90.00 120.00
Element x y z (fractional)
Tb: 0.0000 0.0000 0.0000
Tb: 0.0000 0.0000 0.3427
Tb: 0.6667 0.3333 0.6707
Pm: 0.6667 0.3333 0.1058
Pm: 0.6667 0.3333 0.8896
Sm: 0.0000 0.0000 0.5621
Sm: 0.0000 0.0000 0.7790
Sm: 0.6667 0.3333 0.2375
Sm: 0.6667 0.3333 0.4523



# 2
This entry pairs a crystal structure of TbPm2Sm12 with its computed X-ray diffraction stick pattern. Radiation: λ = 1.5418 Å (Cu Kα). Structure: a structure optimized by DFT (PBE).

The 6 most intense peaks (5° ≤ 2θ ≤ 70°), in order of rising 2θ:
| two_theta | d [Å] | intensity |
| --- | --- | --- |
| 29.45 | 3.033 | 70 |
| 30.22 | 2.958 | 99 |
| 30.98 | 2.887 | 100 |
| 32.63 | 2.744 | 77 |
| 32.73 | 2.736 | 61 |
| 36.58 | 2.457 | 60 |

Atomic structure:
a b c (Å): 6.7955 6.7955 24.9547
angles (deg): 90.00 90.00 116.35
Element x y z (fractional)
Tb: 0.2500 0.7500 0.0004
Tb: 0.7500 0.2500 0.9996
Pm: 0.2500 0.7500 0.2726
Pm: 0.2500 0.7500 0.7339
Pm: 0.7500 0.2500 0.2661
Pm: 0.7500 0.2500 0.7274
Sm: 0.0014 0.5014 0.1275
Sm: 0.0012 0.9988 0.9242
Sm: 0.0188 0.5188 0.5830
Sm: 0.0231 0.9769 0.4401
Sm: 0.2500 0.2500 0.1992
Sm: 0.2500 0.2500 0.3266
Sm: 0.2500 0.2500 0.6734
Sm: 0.2500 0.2500 0.8008
Sm: 0.4769 0.5231 0.4401
Sm: 0.4812 0.9812 0.5830
Sm: 0.4988 0.5012 0.9242
Sm: 0.4986 0.9986 0.1275
Sm: 0.5014 0.0014 0.8725
Sm: 0.5012 0.4988 0.0758
Sm: 0.5188 0.0188 0.4170
Sm: 0.5231 0.4769 0.5599
Sm: 0.7500 0.7500 0.1992
Sm: 0.7500 0.7500 0.3266
Sm: 0.7500 0.7500 0.6734
Sm: 0.7500 0.7500 0.8008
Sm: 0.9769 0.0231 0.5599
Sm: 0.9812 0.4812 0.4170
Sm: 0.9988 0.0012 0.0758
Sm: 0.9986 0.4986 0.8725



# 3
This entry pairs a crystal structure of Tb7Pm4Sm with its computed X-ray diffraction stick pattern. Radiation: λ = 1.5418 Å (Cu Kα). Structure: a structure optimized by DFT (PBE).

The 6 most intense peaks (5° ≤ 2θ ≤ 70°), in order of rising 2θ:
| two_theta | d [Å] | intensity |
| --- | --- | --- |
| 30.14 | 2.965 | 56 |
| 30.86 | 2.898 | 60 |
| 31.28 | 2.860 | 83 |
| 31.38 | 2.851 | 79 |
| 31.82 | 2.813 | 100 |
| 32.13 | 2.786 | 53 |

Atomic structure:
a b c (Å): 6.5765 6.8786 9.1319
angles (deg): 85.63 77.21 82.20
Element x y z (fractional)
Tb: 0.0000 0.0000 0.0000
Tb: 0.1901 0.6042 0.3849
Tb: 0.3174 0.1985 0.6405
Tb: 0.4872 0.7491 0.0511
Tb: 0.5128 0.2509 0.9489
Tb: 0.6826 0.8015 0.3595
Tb: 0.8099 0.3958 0.6151
Pm: 0.1607 0.1124 0.3101
Pm: 0.3605 0.6932 0.7165
Pm: 0.6395 0.3068 0.2835
Pm: 0.8393 0.8876 0.6899
Sm: 0.0000 0.5000 0.0000



# 4
This entry pairs a crystal structure of Tb12Pm2Sm5 with its computed X-ray diffraction stick pattern. Radiation: λ = 1.5418 Å (Cu Kα). Structure: a structure optimized by DFT (PBE).

The 6 most intense peaks (5° ≤ 2θ ≤ 70°), in order of rising 2θ:
| two_theta | d [Å] | intensity |
| --- | --- | --- |
| 29.82 | 2.997 | 22 |
| 30.04 | 2.975 | 39 |
| 31.22 | 2.865 | 32 |
| 31.42 | 2.848 | 100 |
| 32.65 | 2.743 | 42 |
| 35.42 | 2.535 | 29 |

Atomic structure:
a b c (Å): 9.1172 9.1172 8.6990
angles (deg): 92.05 92.05 61.38
Element x y z (fractional)
Tb: 0.0571 0.0571 0.3387
Tb: 0.0614 0.6778 0.3300
Tb: 0.1725 0.5307 0.7589
Tb: 0.3222 0.9386 0.6700
Tb: 0.4266 0.4266 0.1252
Tb: 0.4693 0.8275 0.2411
Tb: 0.5307 0.1725 0.7589
Tb: 0.5734 0.5734 0.8748
Tb: 0.6778 0.0614 0.3300
Tb: 0.8275 0.4693 0.2411
Tb: 0.9386 0.3222 0.6700
Tb: 0.9429 0.9429 0.6613
Pm: 0.1730 0.8270 0.0000
Pm: 0.8270 0.1730 0.0000
Sm: 0.2081 0.2081 0.0248
Sm: 0.2690 0.2690 0.4287
Sm: 0.5000 0.5000 0.5000
Sm: 0.7310 0.7310 0.5713
Sm: 0.7919 0.7919 0.9752



# 5
This entry pairs a crystal structure of Tb2Pm3Sm with its computed X-ray diffraction stick pattern. Radiation: λ = 1.5418 Å (Cu Kα). Structure: a structure optimized by DFT (PBE).

The 6 most intense peaks (5° ≤ 2θ ≤ 70°), in order of rising 2θ:
| two_theta | d [Å] | intensity |
| --- | --- | --- |
| 30.27 | 2.952 | 100 |
| 35.10 | 2.557 | 51 |
| 50.48 | 1.808 | 36 |
| 59.98 | 1.542 | 32 |
| 60.05 | 1.541 | 11 |
| 62.93 | 1.477 | 6 |

Atomic structure:
a b c (Å): 9.5751 9.5751 6.2587
angles (deg): 90.07 90.07 44.36
Element x y z (fractional)
Tb: 0.0424 0.2916 0.4173
Tb: 0.2916 0.0424 0.9173
Tb: 0.7084 0.9576 0.0827
Tb: 0.9576 0.7084 0.5827
Pm: 0.1246 0.8754 0.2500
Pm: 0.2074 0.4580 0.0834
Pm: 0.4580 0.2074 0.5834
Pm: 0.5420 0.7926 0.4166
Pm: 0.7926 0.5420 0.9166
Pm: 0.8754 0.1246 0.7500
Sm: 0.3745 0.6255 0.7500
Sm: 0.6255 0.3745 0.2500



# 6
This entry pairs a crystal structure of Tb12Pm2Sm5 with its computed X-ray diffraction stick pattern. Radiation: λ = 1.5418 Å (Cu Kα). Structure: a structure optimized by DFT (PBE).

The 6 most intense peaks (5° ≤ 2θ ≤ 70°), in order of rising 2θ:
| two_theta | d [Å] | intensity |
| --- | --- | --- |
| 29.05 | 3.074 | 46 |
| 30.70 | 2.913 | 63 |
| 32.17 | 2.782 | 100 |
| 32.27 | 2.774 | 51 |
| 32.41 | 2.762 | 51 |
| 59.43 | 1.555 | 19 |

Atomic structure:
a b c (Å): 6.3029 8.9324 12.1520
angles (deg): 69.38 80.58 79.26
Element x y z (fractional)
Tb: 0.0405 0.0748 0.3272
Tb: 0.1876 0.2591 0.6675
Tb: 0.2287 0.3986 0.3594
Tb: 0.2659 0.5378 0.7865
Tb: 0.3368 0.7935 0.1762
Tb: 0.4145 0.8729 0.8363
Tb: 0.5855 0.1271 0.1637
Tb: 0.6632 0.2065 0.8238
Tb: 0.7341 0.4622 0.2135
Tb: 0.7713 0.6014 0.6406
Tb: 0.8124 0.7409 0.3325
Tb: 0.9595 0.9252 0.6728
Pm: 0.2438 0.5036 0.0648
Pm: 0.7562 0.4964 0.9352
Sm: 0.1378 0.1605 0.9934
Sm: 0.2841 0.6751 0.4893
Sm: 0.5000 0.0000 0.5000
Sm: 0.7159 0.3249 0.5107
Sm: 0.8622 0.8395 0.0066



# 7
This entry pairs a crystal structure of Tb5Pm5Sm with its computed X-ray diffraction stick pattern. Radiation: λ = 1.5418 Å (Cu Kα). Structure: a structure optimized by DFT (PBE).

The 6 most intense peaks (5° ≤ 2θ ≤ 70°), in order of rising 2θ:
| two_theta | d [Å] | intensity |
| --- | --- | --- |
| 28.37 | 3.146 | 100 |
| 29.05 | 3.074 | 86 |
| 30.06 | 2.973 | 31 |
| 34.56 | 2.595 | 35 |
| 35.01 | 2.563 | 33 |
| 51.08 | 1.788 | 39 |

Atomic structure:
a b c (Å): 6.1473 6.1473 11.6965
angles (deg): 90.00 90.00 120.00
Element x y z (fractional)
Tb: 0.0000 0.0000 0.2345
Tb: 0.0000 0.0000 0.7655
Tb: 0.3349 0.1674 0.0000
Tb: 0.8326 0.1674 0.0000
Tb: 0.8326 0.6651 0.0000
Pm: 0.0000 0.0000 0.5000
Pm: 0.3333 0.6667 0.1794
Pm: 0.3333 0.6667 0.8206
Pm: 0.6667 0.3333 0.3437
Pm: 0.6667 0.3333 0.6563
Sm: 0.3333 0.6667 0.5000



# 8
This entry pairs a crystal structure of Tb8PmSm6 with its computed X-ray diffraction stick pattern. Radiation: λ = 1.5418 Å (Cu Kα). Structure: a structure optimized by DFT (PBE).

The 6 most intense peaks (5° ≤ 2θ ≤ 70°), in order of rising 2θ:
| two_theta | d [Å] | intensity |
| --- | --- | --- |
| 30.21 | 2.958 | 20 |
| 31.17 | 2.869 | 100 |
| 32.20 | 2.780 | 29 |
| 34.62 | 2.591 | 11 |
| 36.47 | 2.464 | 14 |
| 52.69 | 1.737 | 11 |

Atomic structure:
a b c (Å): 8.7059 8.7059 8.7059
angles (deg): 63.26 63.26 63.26
Element x y z (fractional)
Tb: 0.0766 0.0766 0.0766
Tb: 0.2196 0.6115 0.2454
Tb: 0.2454 0.2196 0.6115
Tb: 0.3885 0.7546 0.7804
Tb: 0.6115 0.2454 0.2196
Tb: 0.7546 0.7804 0.3885
Tb: 0.7804 0.3885 0.7546
Tb: 0.9234 0.9234 0.9234
Pm: 0.5000 0.5000 0.5000
Sm: 0.0381 0.6050 0.7315
Sm: 0.2685 0.9619 0.3950
Sm: 0.3950 0.2685 0.9619
Sm: 0.6050 0.7315 0.0381
Sm: 0.7315 0.0381 0.6050
Sm: 0.9619 0.3950 0.2685



# 9
This entry pairs a crystal structure of Tb8PmSm2 with its computed X-ray diffraction stick pattern. Radiation: λ = 1.5418 Å (Cu Kα). Structure: a structure optimized by DFT (PBE).

The 6 most intense peaks (5° ≤ 2θ ≤ 70°), in order of rising 2θ:
| two_theta | d [Å] | intensity |
| --- | --- | --- |
| 29.61 | 3.017 | 28 |
| 31.95 | 2.801 | 100 |
| 32.18 | 2.782 | 35 |
| 32.28 | 2.773 | 16 |
| 33.62 | 2.666 | 14 |
| 57.22 | 1.610 | 19 |

Atomic structure:
a b c (Å): 9.4007 9.4007 9.4007
angles (deg): 145.58 128.49 63.43
Element x y z (fractional)
Tb: 0.1554 0.3620 0.7934
Tb: 0.1614 0.1614 0.0000
Tb: 0.2942 0.0000 0.2942
Tb: 0.4313 0.6380 0.7934
Tb: 0.5687 0.3620 0.2066
Tb: 0.7058 0.0000 0.7058
Tb: 0.8386 0.8386 0.0000
Tb: 0.8446 0.6380 0.2066
Pm: 0.0000 0.5000 0.5000
Sm: 0.2998 0.7998 0.5000
Sm: 0.7002 0.2002 0.5000



# 10
This entry pairs a crystal structure of Tb8Pm2Sm with its computed X-ray diffraction stick pattern. Radiation: λ = 1.5418 Å (Cu Kα). Structure: a structure optimized by DFT (PBE).

The 6 most intense peaks (5° ≤ 2θ ≤ 70°), in order of rising 2θ:
| two_theta | d [Å] | intensity |
| --- | --- | --- |
| 29.59 | 3.019 | 28 |
| 31.94 | 2.802 | 100 |
| 32.12 | 2.787 | 35 |
| 32.26 | 2.775 | 16 |
| 33.61 | 2.666 | 14 |
| 57.15 | 1.612 | 19 |

Atomic structure:
a b c (Å): 9.4029 9.4029 9.4029
angles (deg): 145.52 128.52 63.44
Element x y z (fractional)
Tb: 0.1557 0.3626 0.7931
Tb: 0.1608 0.1608 0.0000
Tb: 0.2938 0.0000 0.2938
Tb: 0.4305 0.6374 0.7931
Tb: 0.5695 0.3626 0.2069
Tb: 0.7062 0.0000 0.7062
Tb: 0.8392 0.8392 0.0000
Tb: 0.8443 0.6374 0.2069
Pm: 0.2994 0.7994 0.5000
Pm: 0.7006 0.2006 0.5000
Sm: 0.0000 0.5000 0.5000



# 11
This entry pairs a crystal structure of Tb4PmSm6 with its computed X-ray diffraction stick pattern. Radiation: λ = 1.5418 Å (Cu Kα). Structure: a structure optimized by DFT (PBE).

The 6 most intense peaks (5° ≤ 2θ ≤ 70°), in order of rising 2θ:
| two_theta | d [Å] | intensity |
| --- | --- | --- |
| 28.01 | 3.186 | 32 |
| 28.97 | 3.082 | 90 |
| 30.68 | 2.914 | 38 |
| 30.81 | 2.902 | 100 |
| 34.11 | 2.629 | 78 |
| 40.05 | 2.251 | 46 |

Atomic structure:
a b c (Å): 9.9035 9.9035 9.9035
angles (deg): 141.19 141.19 56.05
Element x y z (fractional)
Tb: 0.0110 0.6376 0.0000
Tb: 0.3624 0.3624 0.3735
Tb: 0.6376 0.0110 0.0000
Tb: 0.9890 0.9890 0.6265
Pm: 0.0000 0.0000 0.0000
Sm: 0.0000 0.5000 0.5000
Sm: 0.1874 0.1874 0.6420
Sm: 0.4546 0.8126 0.0000
Sm: 0.5000 0.0000 0.5000
Sm: 0.5454 0.5454 0.3580
Sm: 0.8126 0.4546 0.0000



# 12
This entry pairs a crystal structure of Tb4Pm5Sm4 with its computed X-ray diffraction stick pattern. Radiation: λ = 1.5418 Å (Cu Kα). Structure: a structure optimized by DFT (PBE).

The 6 most intense peaks (5° ≤ 2θ ≤ 70°), in order of rising 2θ:
| two_theta | d [Å] | intensity |
| --- | --- | --- |
| 30.27 | 2.953 | 100 |
| 35.02 | 2.562 | 34 |
| 35.24 | 2.547 | 17 |
| 50.53 | 1.806 | 24 |
| 59.90 | 1.544 | 29 |
| 60.19 | 1.537 | 14 |

Atomic structure:
a b c (Å): 9.5825 9.5825 9.5825
angles (deg): 94.05 94.05 149.17
Element x y z (fractional)
Tb: 0.1543 0.7685 0.9229
Tb: 0.2315 0.1543 0.3858
Tb: 0.7685 0.8457 0.6142
Tb: 0.8457 0.2315 0.0771
Pm: 0.0000 0.0000 0.0000
Pm: 0.3074 0.5391 0.8466
Pm: 0.4609 0.3074 0.7683
Pm: 0.5391 0.6926 0.2317
Pm: 0.6926 0.4609 0.1534
Sm: 0.0767 0.3840 0.4606
Sm: 0.3840 0.9233 0.3073
Sm: 0.6160 0.0767 0.6927
Sm: 0.9233 0.6160 0.5394



What did the twelfth record say?
This entry pairs a crystal structure of Tb4Pm5Sm4 with its computed X-ray diffraction stick pattern. Radiation: λ = 1.5418 Å (Cu Kα). Structure: a structure optimized by DFT (PBE).

The 6 most intense peaks (5° ≤ 2θ ≤ 70°), in order of rising 2θ:
| two_theta | d [Å] | intensity |
| --- | --- | --- |
| 30.27 | 2.953 | 100 |
| 35.02 | 2.562 | 34 |
| 35.24 | 2.547 | 17 |
| 50.53 | 1.806 | 24 |
| 59.90 | 1.544 | 29 |
| 60.19 | 1.537 | 14 |

Atomic structure:
a b c (Å): 9.5825 9.5825 9.5825
angles (deg): 94.05 94.05 149.17
Element x y z (fractional)
Tb: 0.1543 0.7685 0.9229
Tb: 0.2315 0.1543 0.3858
Tb: 0.7685 0.8457 0.6142
Tb: 0.8457 0.2315 0.0771
Pm: 0.0000 0.0000 0.0000
Pm: 0.3074 0.5391 0.8466
Pm: 0.4609 0.3074 0.7683
Pm: 0.5391 0.6926 0.2317
Pm: 0.6926 0.4609 0.1534
Sm: 0.0767 0.3840 0.4606
Sm: 0.3840 0.9233 0.3073
Sm: 0.6160 0.0767 0.6927
Sm: 0.9233 0.6160 0.5394